The following is a calculated PXRD pattern of DyNbO4. It was derived from a DFT-relaxed cell (GGA-PBE, the Materials Project), using copper Kα.

Most intense lines, 10 to 80 degrees two-theta, in order of rising 2θ:
two_theta	I/Imax
28.2	100
29.7	87
32.2	23
33.6	21
35.0	17
47.2	32
47.3	16
48.2	28
55.9	15
56.0	16

Crystal structure
a b c (Å): 6.6142 6.6142 5.1468
angles (deg): 111.10 111.10 114.54
Fractional positions:
Dy 0.1283 0.8717 0.7500
Dy 0.8717 0.1283 0.2500
Nb 0.3920 0.6080 0.2500
Nb 0.6080 0.3920 0.7500
O 0.1299 0.5501 0.3412
O 0.2170 0.2825 0.7963
O 0.2825 0.2170 0.2963
O 0.4499 0.8701 0.1588
O 0.5501 0.1299 0.8412
O 0.7175 0.7830 0.7037
O 0.7830 0.7175 0.2037
O 0.8701 0.4499 0.6587